Calculated X-ray diffraction stick pattern
Compound: HfGeRu
Radiation: CuKα
Structure: DFT lattice parameters and positions (GGA-PBE)
No peak broadening, texture or thermal motion is included.

Largest 8 diffraction maxima, in order of falling intensity, 10° ≤ 2θ ≤ 90°:
2θ (°)	I/Imax
35.8	100
39.0	90
40.8	51
62.4	28
65.2	25
48.5	25
75.2	22
46.6	18

Structural model:
Cell lengths 6.751, 6.751, 3.757 Å; angles 90.00, 90.00, 120.00 degrees
Fractional positions:
Hf 0.000 0.417 0.000
Hf 0.417 0.000 0.000
Hf 0.583 0.583 0.000
Ge 0.000 0.000 0.000
Ge 0.333 0.667 0.500
Ge 0.667 0.333 0.500
Ru 0.000 0.754 0.500
Ru 0.246 0.246 0.500
Ru 0.754 0.000 0.500

***

Calculated X-ray diffraction stick pattern
Compound: TbPm8Tm5
Radiation: CuKα
Structure: DFT lattice parameters and positions (GGA-PBE)
No peak broadening, texture or thermal motion is included.

Largest 8 diffraction maxima, in order of falling intensity, 10° ≤ 2θ ≤ 90°:
2θ (°)	I/Imax
31.8	100
32.7	59
29.9	44
34.7	41
32.0	39
31.4	38
25.9	24
50.3	21

Structural model:
Cell lengths 8.522, 8.522, 9.019 Å; angles 121.43, 121.43, 81.97 degrees
Fractional positions:
Tb 0.000 0.000 0.000
Pm 0.103 0.498 0.230
Pm 0.157 0.714 0.717
Pm 0.286 0.843 0.283
Pm 0.344 0.347 0.954
Pm 0.502 0.897 0.770
Pm 0.653 0.656 0.046
Pm 0.711 0.155 0.709
Pm 0.845 0.289 0.291
Tm 0.319 0.319 0.538
Tm 0.502 0.106 0.238
Tm 0.681 0.681 0.462
Tm 0.894 0.498 0.762
Tm 0.996 0.004 0.500

***

Calculated X-ray diffraction stick pattern
Compound: CeScAl
Radiation: CuKα
Structure: DFT lattice parameters and positions (GGA-PBE)
No peak broadening, texture or thermal motion is included.

Largest 8 diffraction maxima, in order of falling intensity, 10° ≤ 2θ ≤ 90°:
2θ (°)	I/Imax
34.3	100
12.8	49
28.9	48
40.2	34
69.3	25
25.7	24
57.3	18
48.4	17

Structural model:
Cell lengths 7.278, 7.278, 7.278 Å; angles 154.84, 154.84, 35.88 degrees
Fractional positions:
Ce 0.000 0.000 0.000
Sc 0.700 0.700 0.000
Al 0.339 0.339 0.000

***

Calculated X-ray diffraction stick pattern
Compound: Ce2Al7Ag
Radiation: CuKα
Structure: DFT lattice parameters and positions (GGA-PBE)
No peak broadening, texture or thermal motion is included.

Largest 8 diffraction maxima, in order of falling intensity, 10° ≤ 2θ ≤ 90°:
2θ (°)	I/Imax
33.7	100
31.8	74
22.3	53
53.9	40
42.3	37
45.7	26
71.9	21
64.0	19

Structural model:
Cell lengths 4.269, 4.269, 11.221 Å; angles 90.00, 90.00, 90.00 degrees
Fractional positions:
Ce 0.000 0.500 0.245
Ce 0.500 0.000 0.755
Al 0.000 0.000 0.000
Al 0.000 0.500 0.636
Al 0.000 0.500 0.860
Al 0.500 0.000 0.140
Al 0.500 0.000 0.364
Al 0.500 0.500 0.000
Al 0.500 0.500 0.500
Ag 0.000 0.000 0.500

***

Calculated X-ray diffraction stick pattern
Compound: TbNp2O7
Radiation: CuKα
Structure: DFT lattice parameters and positions (GGA-PBE)
No peak broadening, texture or thermal motion is included.

Largest 8 diffraction maxima, in order of falling intensity, 10° ≤ 2θ ≤ 90°:
2θ (°)	I/Imax
27.6	100
34.0	68
47.7	57
30.8	55
26.2	49
50.0	44
55.2	39
27.1	34

Structural model:
Cell lengths 10.442, 10.442, 10.442 Å; angles 21.05, 21.05, 21.05 degrees
Fractional positions:
Tb 0.000 0.000 0.000
Np 0.433 0.433 0.433
Np 0.567 0.567 0.567
O 0.078 0.078 0.078
O 0.220 0.220 0.220
O 0.362 0.362 0.362
O 0.500 0.500 0.500
O 0.638 0.638 0.638
O 0.780 0.780 0.780
O 0.922 0.922 0.922

***

Calculated X-ray diffraction stick pattern
Compound: NaAgO2
Radiation: CuKα
Structure: DFT lattice parameters and positions (GGA-PBE)
No peak broadening, texture or thermal motion is included.

Largest 8 diffraction maxima, in order of falling intensity, 10° ≤ 2θ ≤ 90°:
2θ (°)	I/Imax
21.0	100
45.3	64
32.9	45
29.7	41
42.8	32
30.2	27
45.0	22
33.0	19

Structural model:
Cell lengths 5.922, 6.020, 3.051 Å; angles 90.00, 90.00, 90.00 degrees
Fractional positions:
Na 0.000 0.000 0.000
Na 0.500 0.500 0.500
Ag 0.000 0.500 0.500
Ag 0.500 0.000 0.000
O 0.190 0.367 0.000
O 0.310 0.867 0.500
O 0.690 0.133 0.500
O 0.810 0.633 0.000